Structure and computed powder diffraction line list of LiPm2Ga (a structure optimized by DFT (GGA-PBE); λ = 1.5418 Å (Cu Kα)).
Lines closer than 0.1° are merged.

Principal peaks in the range 2θ = 5–70°, low angle first:
- 2θ 20.81, I = 7.9
- 2θ 24.07, I = 41.3
- 2θ 34.30, I = 100.0
- 2θ 40.46, I = 4.3
- 2θ 42.35, I = 12.4
- 2θ 49.30, I = 17.9
- 2θ 54.06, I = 1.8
- 2θ 55.59, I = 17.0
- 2θ 61.44, I = 36.8
- 2θ 65.61, I = 1.3

Structural model:
```
LiPm2Ga
1.0
7.394 0.000 0.000
0.000 7.394 0.000
0.000 0.000 7.394
Li Pm Ga
4 8 4
direct
0.000 0.000 0.000
0.000 0.500 0.500
0.500 0.000 0.500
0.500 0.500 0.000
0.250 0.250 0.250
0.250 0.250 0.750
0.250 0.750 0.250
0.250 0.750 0.750
0.750 0.250 0.250
0.750 0.250 0.750
0.750 0.750 0.250
0.750 0.750 0.750
0.000 0.000 0.500
0.000 0.500 0.000
0.500 0.000 0.000
0.500 0.500 0.500
```